# La5Tb2Er4
Calculated X-ray powder pattern, Cu Kα (λ = 1.5418 Å). Input: a PBE-relaxed structure.
Lines closer than 0.1° are merged.

Cell and atoms:
a b c (Å): 12.852 12.852 12.852
angles (deg): 164.12 137.83 45.34
Fractional coordinates of all 11 atoms:
La (0.000, 0.000, 0.000)
La (0.055, 0.354, 0.701)
La (0.348, 0.646, 0.701)
La (0.652, 0.354, 0.299)
La (0.945, 0.646, 0.299)
Tb (0.269, 0.769, 0.500)
Tb (0.731, 0.231, 0.500)
Er (0.318, 0.500, 0.818)
Er (0.404, 0.904, 0.500)
Er (0.596, 0.096, 0.500)
Er (0.682, 0.500, 0.182)

Most intense lines, 2θ from 10° to 90°, in order of rising 2θ:
| 2theta | I_rel |
| --- | --- |
| 10.3 | 34 |
| 26.9 | 26 |
| 28.0 | 66 |
| 29.7 | 60 |
| 30.1 | 30 |
| 31.1 | 67 |
| 32.0 | 100 |
| 35.4 | 54 |
| 36.7 | 50 |
| 41.7 | 28 |
| 51.5 | 21 |
| 56.7 | 21 |



# ThZn3Ge2
Calculated X-ray powder pattern, Cu Kα (λ = 1.5418 Å). Input: a PBE-relaxed structure.
Lines closer than 0.1° are merged.

Cell and atoms:
a b c (Å): 7.914 7.914 8.454
angles (deg): 120.94 120.94 31.78
Fractional coordinates of all 12 atoms:
Th (0.148, 0.148, 0.217)
Th (0.852, 0.852, 0.783)
Zn (0.060, 0.060, 0.734)
Zn (0.273, 0.273, 0.968)
Zn (0.418, 0.418, 0.513)
Zn (0.582, 0.582, 0.487)
Zn (0.727, 0.727, 0.032)
Zn (0.940, 0.940, 0.266)
Ge (0.182, 0.182, 0.607)
Ge (0.473, 0.473, 0.120)
Ge (0.527, 0.527, 0.880)
Ge (0.818, 0.818, 0.393)

Most intense lines, 2θ from 10° to 90°, in order of rising 2θ:
| 2theta | I_rel |
| --- | --- |
| 12.7 | 23 |
| 23.0 | 32 |
| 29.3 | 80 |
| 30.5 | 61 |
| 32.4 | 29 |
| 32.7 | 42 |
| 36.0 | 85 |
| 36.2 | 25 |
| 36.6 | 100 |
| 38.1 | 26 |
| 41.0 | 24 |
| 41.7 | 65 |



# HoMg2Cd5
Calculated X-ray powder pattern, Cu Kα (λ = 1.5418 Å). Input: a PBE-relaxed structure.
Lines closer than 0.1° are merged.

Cell and atoms:
a b c (Å): 9.456 9.456 9.456
angles (deg): 152.27 152.27 39.62
Fractional coordinates of all 8 atoms:
Ho (0.000, 0.000, 0.000)
Mg (0.246, 0.246, 0.000)
Mg (0.754, 0.754, 0.000)
Cd (0.130, 0.630, 0.500)
Cd (0.370, 0.870, 0.500)
Cd (0.500, 0.500, 0.000)
Cd (0.630, 0.130, 0.500)
Cd (0.870, 0.370, 0.500)

Most intense lines, 2θ from 10° to 90°, in order of rising 2θ:
| 2theta | I_rel |
| --- | --- |
| 29.6 | 16 |
| 30.1 | 6 |
| 34.5 | 100 |
| 39.8 | 34 |
| 40.6 | 15 |
| 50.7 | 6 |
| 57.5 | 11 |
| 58.1 | 21 |
| 59.4 | 5 |
| 68.8 | 25 |
| 69.9 | 11 |
| 72.7 | 10 |



# La4TbSb5
Calculated X-ray powder pattern, Cu Kα (λ = 1.5418 Å). Input: a PBE-relaxed structure.
Lines closer than 0.1° are merged.

Cell and atoms:
a b c (Å): 16.508 16.508 16.508
angles (deg): 164.02 164.02 22.67
Fractional coordinates of all 10 atoms:
La (0.099, 0.099, 0.000)
La (0.301, 0.301, 0.000)
La (0.699, 0.699, 0.000)
La (0.901, 0.901, 0.000)
Tb (0.500, 0.500, 0.000)
Sb (0.000, 0.000, 0.000)
Sb (0.200, 0.200, 0.000)
Sb (0.403, 0.403, 0.000)
Sb (0.597, 0.597, 0.000)
Sb (0.800, 0.800, 0.000)

Most intense lines, 2θ from 10° to 90°, in order of rising 2θ:
| 2theta | I_rel |
| --- | --- |
| 23.8 | 1 |
| 27.5 | 100 |
| 39.3 | 77 |
| 46.5 | 1 |
| 48.6 | 28 |
| 56.8 | 9 |
| 56.9 | 4 |
| 64.2 | 24 |
| 64.3 | 12 |
| 71.3 | 26 |
| 84.5 | 3 |
| 84.6 | 5 |



# Li2MgCdIn5
Calculated X-ray powder pattern, Cu Kα (λ = 1.5418 Å). Input: a PBE-relaxed structure.
Lines closer than 0.1° are merged.

Cell and atoms:
a b c (Å): 10.395 10.395 10.395
angles (deg): 142.15 142.15 54.61
Fractional coordinates of all 18 atoms:
Li (0.131, 0.631, 0.762)
Li (0.369, 0.131, 0.500)
Li (0.631, 0.869, 0.500)
Li (0.869, 0.369, 0.238)
Mg (0.250, 0.250, 0.000)
Mg (0.750, 0.750, 0.000)
Cd (0.250, 0.750, 0.500)
Cd (0.750, 0.250, 0.500)
In (0.000, 0.000, 0.000)
In (0.066, 0.186, 0.500)
In (0.186, 0.686, 0.120)
In (0.314, 0.434, 0.500)
In (0.434, 0.934, 0.120)
In (0.500, 0.500, 0.000)
In (0.566, 0.066, 0.880)
In (0.686, 0.566, 0.500)
In (0.814, 0.314, 0.880)
In (0.934, 0.814, 0.500)

Most intense lines, 2θ from 10° to 90°, in order of rising 2θ:
| 2theta | I_rel |
| --- | --- |
| 19.2 | 10 |
| 21.0 | 35 |
| 30.0 | 30 |
| 32.9 | 100 |
| 33.1 | 25 |
| 37.7 | 25 |
| 38.5 | 18 |
| 39.0 | 24 |
| 43.6 | 12 |
| 55.4 | 16 |
| 56.5 | 11 |
| 66.8 | 12 |



# Tb3Sm2Ho
Calculated X-ray powder pattern, Cu Kα (λ = 1.5418 Å). Input: a PBE-relaxed structure.
Lines closer than 0.1° are merged.

Cell and atoms:
a b c (Å): 8.897 8.897 6.011
angles (deg): 109.73 109.73 65.52
Fractional coordinates of all 12 atoms:
Tb (0.109, 0.891, 0.750)
Tb (0.185, 0.350, 0.511)
Tb (0.350, 0.185, 0.011)
Tb (0.650, 0.815, 0.989)
Tb (0.815, 0.650, 0.489)
Tb (0.891, 0.109, 0.250)
Sm (0.086, 0.646, 0.119)
Sm (0.354, 0.914, 0.381)
Sm (0.646, 0.086, 0.619)
Sm (0.914, 0.354, 0.881)
Ho (0.500, 0.500, 0.000)
Ho (0.500, 0.500, 0.500)

Most intense lines, 2θ from 10° to 90°, in order of rising 2θ:
| 2theta | I_rel |
| --- | --- |
| 28.6 | 27 |
| 29.7 | 38 |
| 30.8 | 41 |
| 31.5 | 100 |
| 31.6 | 88 |
| 31.9 | 30 |
| 32.1 | 63 |
| 37.0 | 25 |
| 53.5 | 24 |
| 53.9 | 32 |
| 55.8 | 34 |
| 56.9 | 23 |



Please write out number 6 again, unchanged.
# Tb3Sm2Ho
Calculated X-ray powder pattern, Cu Kα (λ = 1.5418 Å). Input: a PBE-relaxed structure.
Lines closer than 0.1° are merged.

Cell and atoms:
a b c (Å): 8.897 8.897 6.011
angles (deg): 109.73 109.73 65.52
Fractional coordinates of all 12 atoms:
Tb (0.109, 0.891, 0.750)
Tb (0.185, 0.350, 0.511)
Tb (0.350, 0.185, 0.011)
Tb (0.650, 0.815, 0.989)
Tb (0.815, 0.650, 0.489)
Tb (0.891, 0.109, 0.250)
Sm (0.086, 0.646, 0.119)
Sm (0.354, 0.914, 0.381)
Sm (0.646, 0.086, 0.619)
Sm (0.914, 0.354, 0.881)
Ho (0.500, 0.500, 0.000)
Ho (0.500, 0.500, 0.500)

Most intense lines, 2θ from 10° to 90°, in order of rising 2θ:
| 2theta | I_rel |
| --- | --- |
| 28.6 | 27 |
| 29.7 | 38 |
| 30.8 | 41 |
| 31.5 | 100 |
| 31.6 | 88 |
| 31.9 | 30 |
| 32.1 | 63 |
| 37.0 | 25 |
| 53.5 | 24 |
| 53.9 | 32 |
| 55.8 | 34 |
| 56.9 | 23 |